Starting from the PBE geometry in the Materials Project, the X-ray powder pattern of NaTbIrO4 was calculated for Cu Kα, 1.54184 Å.

```
data_NaTbIrO4
_symmetry_space_group_name_H-M 'A m m 2'
_symmetry_Int_Tables_number 38
_cell_length_a 3.2607
_cell_length_b 16.1426
_cell_length_c 9.6472
_cell_angle_alpha 90.00
_cell_angle_beta 90.00
_cell_angle_gamma 90.00
loop_
_symmetry_equiv_pos_as_xyz
'x,y,z'
'-x,-y,z'
'-x,y,z'
'x,-y,z'
'x,y+1/2,z+1/2'
'-x,-y+1/2,z+1/2'
'-x,y+1/2,z+1/2'
'x,-y+1/2,z+1/2'
loop_
_atom_site_label
_atom_site_fract_x
_atom_site_fract_y
_atom_site_fract_z
Na1 0.0000 0.0000 0.0000
Na2 0.5000 0.1505 0.1297
Tb1 0.5000 0.0000 0.6821
Tb2 0.5000 0.1715 0.4653
Ir1 0.0000 0.0000 0.3114
Ir2 0.0000 0.1618 0.8143
O1 0.0000 0.0975 0.6253
O2 0.0000 0.1249 0.3177
O3 0.0000 0.2281 0.9914
O4 0.5000 0.0000 0.1813
O5 0.5000 0.0000 0.4410
O6 0.5000 0.0901 0.8763
O7 0.5000 0.2269 0.7522
```

Main lines, by intensity (2θ from 5° to 70°):
hkl  2θ (°)  d (Å)  Rel. int.
1 3 1  33.45  2.679  100
0 3 3  32.43  2.760  81
0 1 1  10.68  8.281  43
0 6 0  33.30  2.690  40
0 0 2  18.39  4.824  34
1 0 2  33.16  2.701  32
1 6 2  47.71  1.906  32
1 0 4  46.85  1.939  32
1 6 4  58.69  1.573  31
0 3 1  18.88  4.699  28

Starting from the PBE geometry in the Materials Project, the X-ray powder pattern of Na4Y2Ir3O12 was calculated for Cu Kα, 1.54184 Å.

```
data_Na4Y2Ir3O12
_symmetry_space_group_name_H-M 'P -6 2 m'
_symmetry_Int_Tables_number 189
_symmetry_space_group_name_Hall 'P -6 -2'
_cell_length_a 9.4803
_cell_length_b 9.4803
_cell_length_c 3.2089
_cell_angle_alpha 90.00
_cell_angle_beta 90.00
_cell_angle_gamma 120.00
loop_
_atom_site_label
_atom_site_fract_x
_atom_site_fract_y
_atom_site_fract_z
Na1 0.0000 0.0000 0.0000
Na2 0.0000 0.6986 0.5000
Y1 0.3333 0.6667 0.5000
Ir1 0.0000 0.3302 0.0000
O1 0.0000 0.1969 0.5000
O2 0.0000 0.4565 0.5000
O3 0.2169 0.7570 0.0000
```

Main lines, by intensity (2θ from 5° to 70°):
hkl  2θ (°)  d (Å)  Rel. int.
1 1 0  18.72  4.740  100
1 1 1  33.73  2.657  82
3 0 0  32.72  2.737  66
2 2 1  47.70  1.906  42
4 1 1  59.05  1.564  41
3 0 2  67.69  1.384  17
3 3 0  58.41  1.580  16
2 2 0  37.96  2.370  14
4 1 0  50.97  1.792  12
3 0 1  43.46  2.082  11